[1]
PrAs2Au: calculated powder diffractogram (Cu Kα, 1.54184 Å), based on a structure optimized by DFT (GGA-PBE).

Crystal structure
```
16
Lattice="2.9296 -2.9270 0.0000 2.9296 2.9270 0.0000 0.0000 0.0000 20.9332" Properties=species:S:1:pos:R:3 pbc="T T T"
Pr 2.9296 1.5471 18.4616
Pr 2.9296 1.3800 7.9950
Pr 2.9296 -1.3800 12.9383
Pr 2.9296 -1.5471 2.4716
As 1.2897 0.0000 10.4666
As 2.9296 1.5469 13.8089
As 2.9296 1.3801 3.3423
As 1.6399 0.0000 0.0000
As 4.2193 0.0000 0.0000
As 2.9296 -1.3801 17.5910
As 2.9296 -1.5469 7.1244
As 4.5695 0.0000 10.4666
Au 1.4648 0.1136 15.6999
Au 1.4648 -0.1136 5.2333
Au 4.3944 0.1136 15.6999
Au 4.3944 -0.1136 5.2333
```

Main lines, most intense first (15 to 90 degrees two-theta):
2θ/deg, d_spacing, intensity
35.1, 2.555, 100
43.7, 2.071, 30
74.7, 1.270, 21
34.3, 2.617, 20
56.7, 1.624, 18
63.5, 1.464, 9
40.2, 2.243, 8
74.2, 1.278, 8
33.6, 2.668, 7
23.1, 3.851, 7


[2]
TbGe3: calculated powder diffractogram (Cu Kα, 1.54184 Å), based on a structure optimized by DFT (GGA-PBE).

Crystal structure
```
8
Lattice="2.0211 -10.5423 0.0000 2.0211 10.5423 0.0000 0.0000 0.0000 3.9390" Properties=species:S:1:pos:R:3 pbc="T T T"
Tb 2.0211 8.7912 2.9543
Tb 2.0211 -8.7912 0.9848
Ge 2.0211 6.5078 0.9848
Ge 2.0211 4.0064 0.9848
Ge 2.0211 0.8173 2.9543
Ge 2.0211 -0.8173 0.9848
Ge 2.0211 -4.0064 2.9543
Ge 2.0211 -6.5078 2.9543
```

Main lines, most intense first (15 to 90 degrees two-theta):
2θ/deg, d_spacing, intensity
34.2, 2.618, 100
38.4, 2.345, 35
30.6, 2.918, 22
44.8, 2.021, 22
34.0, 2.636, 22
46.1, 1.970, 21
24.1, 3.690, 16
41.2, 2.190, 15
66.3, 1.411, 14
44.0, 2.059, 11


[3]
SrEuCuBiO6: calculated powder diffractogram (Cu Kα, 1.54184 Å), based on a structure optimized by DFT (GGA-PBE).

Crystal structure
```
10
Lattice="0.0000 4.0715 4.0715 4.0715 0.0000 4.0715 4.0715 4.0715 0.0000" Properties=species:S:1:pos:R:3 pbc="T T T"
Sr 0.0000 0.0000 0.0000
Eu 4.0715 4.0715 4.0715
Cu 6.1073 6.1073 6.1073
Bi 2.0358 2.0358 2.0358
O 6.1073 6.1073 4.1492
O 6.1073 4.1492 6.1073
O 8.0654 6.1073 6.1073
O 4.1492 6.1073 6.1073
O 6.1073 8.0654 6.1073
O 6.1073 6.1073 8.0654
```

Main lines, most intense first (15 to 90 degrees two-theta):
2θ/deg, d_spacing, intensity
31.1, 2.879, 100
55.3, 1.662, 40
44.5, 2.036, 30
18.9, 4.701, 19
64.8, 1.440, 18
73.6, 1.288, 18
36.6, 2.455, 13
48.7, 1.868, 7
82.0, 1.175, 6
68.1, 1.376, 4


[4]
HoInGe2O7: calculated powder diffractogram (Cu Kα, 1.54184 Å), based on a structure optimized by DFT (GGA-PBE).

Crystal structure
```
22
Lattice="3.4442 -4.5445 0.0000 3.4442 4.5445 0.0000 -2.0653 0.0000 9.7661" Properties=species:S:1:pos:R:3 pbc="T T T"
Ho -0.4991 0.0000 2.3980
Ho 5.3222 0.0000 7.3681
In 1.8986 1.0406 7.2963
In 2.9245 1.0406 2.4698
Ge 0.7139 -1.7578 5.3354
Ge 1.7844 -1.8465 0.4490
Ge 4.1091 -1.7578 4.4308
Ge 3.0386 -1.8465 9.3171
O 2.5228 2.7824 1.0893
O 0.9471 1.3328 3.4392
O 1.5251 2.7965 5.9806
O -0.0180 1.2751 8.3293
O 3.2980 2.7965 3.7856
O 0.4803 -0.2709 6.2762
O 2.3003 2.7824 8.6768
O 1.6292 -0.3561 1.4038
O 4.8410 1.2751 1.4368
O 3.8760 1.3328 6.3269
O 2.4115 -1.8507 4.8831
O 3.4442 -2.3243 0.0000
O 3.1938 -0.3561 8.3623
O 4.3427 -0.2709 3.4899
```

Main lines, most intense first (15 to 90 degrees two-theta):
2θ/deg, d_spacing, intensity
26.8, 3.327, 100
28.9, 3.088, 56
26.5, 3.360, 42
33.1, 2.707, 39
52.1, 1.757, 32
32.4, 2.763, 27
16.4, 5.414, 23
18.2, 4.883, 20
45.7, 1.984, 19
36.0, 2.497, 17


[5]
ScC: calculated powder diffractogram (Cu Kα, 1.54184 Å), based on a structure optimized by DFT (GGA-PBE).

Crystal structure
```
2
Lattice="0.0000 2.5557 2.5557 2.5557 0.0000 2.5557 2.5557 2.5557 0.0000" Properties=species:S:1:pos:R:3 pbc="T T T"
Sc 0.0000 0.0000 0.0000
C 3.8336 3.8336 3.8336
```

Main lines, most intense first (15 to 90 degrees two-theta):
2θ/deg, d_spacing, intensity
30.3, 2.951, 100
50.5, 1.807, 43
60.0, 1.541, 35
35.1, 2.556, 27
82.2, 1.173, 13
84.8, 1.143, 8
63.0, 1.476, 6
74.2, 1.278, 6


[6]
KVCu3Se4: calculated powder diffractogram (Cu Kα, 1.54184 Å), based on a structure optimized by DFT (GGA-PBE).

Crystal structure
```
9
Lattice="6.0770 0.0000 0.0000 0.0000 6.0770 0.0000 0.0000 0.0000 6.0770" Properties=species:S:1:pos:R:3 pbc="T T T"
K 0.0000 0.0000 0.0000
V 3.0385 3.0385 3.0385
Cu 0.0000 3.0385 3.0385
Cu 3.0385 0.0000 3.0385
Cu 3.0385 3.0385 0.0000
Se 1.6954 1.6954 4.3816
Se 1.6954 4.3816 1.6954
Se 4.3816 1.6954 1.6954
Se 4.3816 4.3816 4.3816
```

Main lines, most intense first (15 to 90 degrees two-theta):
2θ/deg, d_spacing, intensity
25.4, 3.509, 100
42.1, 2.149, 96
49.8, 1.832, 39
76.8, 1.240, 23
54.4, 1.685, 15
61.0, 1.519, 13
67.1, 1.394, 12
36.2, 2.481, 11
44.7, 2.026, 10
82.5, 1.170, 8


[7]
Eu2Be2SiO7: calculated powder diffractogram (Cu Kα, 1.54184 Å), based on a structure optimized by DFT (GGA-PBE).

Crystal structure
```
24
Lattice="7.4472 0.0000 0.0000 0.0000 7.4472 0.0000 0.0000 0.0000 4.9295" Properties=species:S:1:pos:R:3 pbc="T T T"
Eu 1.2017 2.5219 0.0181
Eu 2.5219 6.2455 4.9114
Eu 4.9253 1.2017 4.9114
Eu 6.2455 4.9253 0.0181
Be 1.0144 4.7380 2.6853
Be 2.7092 1.0144 2.2442
Be 4.7380 6.4328 2.2442
Be 6.4328 2.7092 2.6853
Si 0.0000 0.0000 2.4647
Si 3.7236 3.7236 2.4647
O 0.0000 3.7236 3.3283
O 0.5738 6.2222 3.4055
O 1.0379 4.7615 1.0584
O 1.2249 0.5738 1.5240
O 2.4987 4.2974 3.4055
O 2.6857 1.0379 3.8711
O 3.1498 2.4987 1.5240
O 3.7236 0.0000 1.6011
O 4.2974 4.9485 1.5240
O 4.7615 6.4093 3.8711
O 4.9485 3.1498 3.4055
O 6.2222 6.8734 1.5240
O 6.4093 2.6857 1.0584
O 6.8734 1.2249 3.4055
```

Main lines, most intense first (15 to 90 degrees two-theta):
2θ/deg, d_spacing, intensity
32.4, 2.760, 100
26.8, 3.330, 48
18.0, 4.929, 48
45.8, 1.981, 43
30.1, 2.971, 32
24.7, 3.599, 24
55.6, 1.654, 19
42.5, 2.125, 18
53.8, 1.703, 17
38.2, 2.355, 16


[8]
K2MnS2: calculated powder diffractogram (Cu Kα, 1.54184 Å), based on a structure optimized by DFT (GGA-PBE).

Crystal structure
```
10
Lattice="-3.4668 6.3604 3.1520 3.4668 -6.3604 3.1520 3.4668 6.3604 -3.1520" Properties=species:S:1:pos:R:3 pbc="T T T"
K 1.1023 1.8719 0.0000
K 1.1023 -1.8719 3.1520
K 2.3645 8.2324 0.0000
K 2.3645 4.4885 3.1520
Mn 3.4668 0.0000 1.5760
Mn 0.0000 6.3604 1.5760
S 4.8033 1.2998 0.0000
S 1.3365 5.0606 0.0000
S 2.1303 1.2998 3.1520
S -1.3365 5.0606 3.1520
```

Main lines, most intense first (15 to 90 degrees two-theta):
2θ/deg, d_spacing, intensity
30.2, 2.955, 100
40.3, 2.239, 95
24.6, 3.617, 94
38.6, 2.332, 65
38.4, 2.344, 54
32.0, 2.799, 48
34.1, 2.628, 47
36.4, 2.469, 36
28.3, 3.152, 35
53.7, 1.706, 28